# HoNiGe
Calculated powder diffractogram, CuKα. Input: the PBE geometry in the Materials Project.
Kinematic intensities with the Lorentz-polarization factor, no thermal factor.

Most intense lines, 2θ = 10–90°, most intense first:
two_theta, Rel. int., h k l
35.82, 100, 2 1 1
43.00, 30, 0 1 3
35.05, 26, 1 1 2
42.80, 22, 0 2 0
24.36, 15, 0 1 1
57.04, 15, 2 2 2
69.55, 13, 3 1 4
41.17, 11, 3 0 1
59.26, 10, 4 1 1
73.83, 9, 2 3 1

Cell and atoms:
Lattice parameters (Å, degrees): 6.898 4.226 7.276 90.00 90.00 90.00
Fractional positions:
Ho (0.008, 0.250, 0.207)
Ho (0.492, 0.750, 0.707)
Ho (0.508, 0.250, 0.293)
Ho (0.992, 0.750, 0.793)
Ni (0.197, 0.750, 0.419)
Ni (0.303, 0.250, 0.919)
Ni (0.697, 0.750, 0.081)
Ni (0.803, 0.250, 0.581)
Ge (0.196, 0.250, 0.589)
Ge (0.304, 0.750, 0.089)
Ge (0.696, 0.250, 0.911)
Ge (0.804, 0.750, 0.411)